[1]
# Pm2PrPaBi5
Computed powder XRD pattern, CuKα. Input: a crystal structure in Alexandria, relaxed with GGA-PBE.
Intensities are scaled so that the largest is 1000.

Most intense lines, 2θ from 15° to 90°, by intensity:
2θ = 31.9°, I 1000
2θ = 44.0°, I 816
2θ = 22.4°, I 633
2θ = 29.5°, I 595
2θ = 55.4°, I 419
2θ = 45.8°, I 376
2θ = 23.6°, I 374
2θ = 37.3°, I 325
2θ = 26.9°, I 313
2θ = 31.6°, I 284

```
data_Pm2PrPaBi5
_chemical_formula_sum 'Pm2 Pr1 Pa1 Bi5'
_cell_length_a 5.6055
_cell_length_b 5.6055
_cell_length_c 12.1299
_cell_angle_alpha 90.00
_cell_angle_beta 90.00
_cell_angle_gamma 90.00
_symmetry_space_group_name_H-M 'P 4/m m m'
_symmetry_Int_Tables_number 123
_symmetry_space_group_name_Hall '-P 4 2'
loop_
_atom_site_label
_atom_site_type_symbol
_atom_site_fract_x
_atom_site_fract_y
_atom_site_fract_z
Pm1 Pm 0.0000 0.0000 0.2329
Pr1 Pr 0.5000 0.5000 0.5000
Pa1 Pa 0.5000 0.5000 0.0000
Bi1 Bi 0.0000 0.0000 0.5000
Bi2 Bi 0.0000 0.5000 0.0000
Bi3 Bi 0.5000 0.5000 0.2500
```



[2]
# CaPmH6Rh2
Computed powder XRD pattern, CuKα. Input: a crystal structure in Alexandria, relaxed with GGA-PBE.
Intensities are scaled so that the largest is 1000.

Most intense lines, 2θ from 15° to 90°, by intensity:
2θ = 36.8°, I 1000
2θ = 31.2°, I 905
2θ = 35.8°, I 636
2θ = 21.7°, I 570
2θ = 66.2°, I 337
2θ = 49.0°, I 252
2θ = 62.8°, I 232
2θ = 65.6°, I 220
2θ = 52.2°, I 215
2θ = 63.7°, I 161

```
data_CaPmH6Rh2
_chemical_formula_sum 'Ca3 Pm3 H18 Rh6'
_cell_length_a 4.8908
_cell_length_b 4.8908
_cell_length_c 15.5764
_cell_angle_alpha 90.00
_cell_angle_beta 90.00
_cell_angle_gamma 120.00
_symmetry_space_group_name_H-M 'R -3 m'
_symmetry_Int_Tables_number 166
_symmetry_space_group_name_Hall '-R 3 2"'
loop_
_atom_site_label
_atom_site_type_symbol
_atom_site_fract_x
_atom_site_fract_y
_atom_site_fract_z
Ca1 Ca 0.0000 0.0000 0.0000
Pm1 Pm 0.0000 0.0000 0.5000
H1 H 0.0297 0.5148 0.4428
Rh1 Rh 0.0000 0.0000 0.2901
```



[3]
# Ba6Mg15Tl8
Computed powder XRD pattern, CuKα. Input: a crystal structure in Alexandria, relaxed with GGA-PBE.
Intensities are scaled so that the largest is 1000.

Most intense lines, 2θ from 15° to 90°, by intensity:
2θ = 33.0°, I 1000
2θ = 25.3°, I 395
2θ = 59.0°, I 301
2θ = 19.2°, I 268
2θ = 30.3°, I 264
2θ = 48.6°, I 173
2θ = 34.6°, I 147
2θ = 47.4°, I 142
2θ = 20.0°, I 140
2θ = 84.5°, I 126

```
data_Ba6Mg15Tl8
_chemical_formula_sum 'Ba24 Mg60 Tl32'
_cell_length_a 15.3440
_cell_length_b 15.3440
_cell_length_c 15.3440
_cell_angle_alpha 90.00
_cell_angle_beta 90.00
_cell_angle_gamma 90.00
_symmetry_space_group_name_H-M 'F m -3 m'
_symmetry_Int_Tables_number 225
_symmetry_space_group_name_Hall '-F 4 2 3'
loop_
_atom_site_label
_atom_site_type_symbol
_atom_site_fract_x
_atom_site_fract_y
_atom_site_fract_z
Ba1 Ba 0.0000 0.0000 0.2214
Mg1 Mg 0.0000 0.0000 0.5000
Mg2 Mg 0.0000 0.2500 0.2500
Mg3 Mg 0.1756 0.1756 0.1756
Tl1 Tl 0.1281 0.1281 0.3719
```



[4]
# Na4AcAu2
Computed powder XRD pattern, CuKα. Input: a crystal structure in Alexandria, relaxed with GGA-PBE.
Intensities are scaled so that the largest is 1000.

Most intense lines, 2θ from 15° to 90°, by intensity:
2θ = 28.9°, I 1000
2θ = 31.5°, I 505
2θ = 40.8°, I 433
2θ = 33.2°, I 393
2θ = 36.9°, I 353
2θ = 29.8°, I 327
2θ = 59.2°, I 294
2θ = 41.9°, I 236
2θ = 56.2°, I 214
2θ = 53.7°, I 206

```
data_Na4AcAu2
_chemical_formula_sum 'Na8 Ac2 Au4'
_cell_length_a 4.4112
_cell_length_b 20.4433
_cell_length_c 4.4178
_cell_angle_alpha 90.00
_cell_angle_beta 90.00
_cell_angle_gamma 90.00
_symmetry_space_group_name_H-M 'C m m m'
_symmetry_Int_Tables_number 65
_symmetry_space_group_name_Hall '-C 2 2'
loop_
_atom_site_label
_atom_site_type_symbol
_atom_site_fract_x
_atom_site_fract_y
_atom_site_fract_z
Na1 Na 0.0000 0.1722 0.0000
Na2 Na 0.0000 0.3273 0.5000
Ac1 Ac 0.0000 0.5000 0.0000
Au1 Au 0.0000 0.0694 0.5000
```



[5]
# HoTi2O5
Computed powder XRD pattern, CuKα. Input: a crystal structure in Alexandria, relaxed with GGA-PBE.
Intensities are scaled so that the largest is 1000.

Most intense lines, 2θ from 15° to 90°, by intensity:
2θ = 23.4°, I 1000
2θ = 34.0°, I 824
2θ = 32.1°, I 757
2θ = 31.2°, I 737
2θ = 28.8°, I 645
2θ = 47.5°, I 644
2θ = 19.4°, I 587
2θ = 54.9°, I 408
2θ = 37.2°, I 334
2θ = 35.2°, I 317

```
data_HoTi2O5
_chemical_formula_sum 'Ho2 Ti4 O10'
_cell_length_a 3.5183
_cell_length_b 11.9256
_cell_length_c 4.9416
_cell_angle_alpha 90.00
_cell_angle_beta 90.00
_cell_angle_gamma 90.00
_symmetry_space_group_name_H-M 'P m m n'
_symmetry_Int_Tables_number 59
loop_
_symmetry_equiv_pos_as_xyz
'x,y,z'
'-x,-y,-z'
'-x+1/2,-y+1/2,z'
'x+1/2,y+1/2,-z'
'x+1/2,-y,-z'
'-x+1/2,y,z'
'-x,y+1/2,-z'
'x,-y+1/2,z'
loop_
_atom_site_label
_atom_site_type_symbol
_atom_site_fract_x
_atom_site_fract_y
_atom_site_fract_z
Ho1 Ho 0.2500 0.2500 0.1255
Ti1 Ti 0.2500 0.5949 0.4199
O1 O 0.2500 0.0803 0.4109
O2 O 0.2500 0.6379 0.0743
O3 O 0.2500 0.7500 0.5757
```



[6]
# Nd3Sm7Tl2
Computed powder XRD pattern, CuKα. Input: a crystal structure in Alexandria, relaxed with GGA-PBE.
Intensities are scaled so that the largest is 1000.

Most intense lines, 2θ from 15° to 90°, by intensity:
2θ = 30.7°, I 1000
2θ = 31.0°, I 894
2θ = 31.8°, I 589
2θ = 34.2°, I 524
2θ = 28.7°, I 371
2θ = 49.7°, I 353
2θ = 33.5°, I 327
2θ = 30.1°, I 314
2θ = 61.3°, I 232
2θ = 59.7°, I 206

```
data_Nd3Sm7Tl2
_chemical_formula_sum 'Nd3 Sm7 Tl2'
_cell_length_a 5.8000
_cell_length_b 3.6721
_cell_length_c 18.7241
_cell_angle_alpha 90.00
_cell_angle_beta 93.61
_cell_angle_gamma 90.00
_symmetry_space_group_name_H-M 'P 1 2/m 1'
_symmetry_Int_Tables_number 10
loop_
_symmetry_equiv_pos_as_xyz
'x,y,z'
'-x,-y,-z'
'-x,y,-z'
'x,-y,z'
loop_
_atom_site_label
_atom_site_type_symbol
_atom_site_fract_x
_atom_site_fract_y
_atom_site_fract_z
Nd1 Nd 0.0000 0.0000 0.0000
Nd2 Nd 0.2778 0.5000 0.6399
Sm1 Sm 0.1762 0.5000 0.1526
Sm2 Sm 0.2419 0.0000 0.4638
Sm3 Sm 0.3210 0.0000 0.8320
Sm4 Sm 0.5000 0.5000 0.0000
Tl1 Tl 0.2086 0.0000 0.2956
```



[7]
# K8CaTe6
Computed powder XRD pattern, CuKα. Input: a crystal structure in Alexandria, relaxed with GGA-PBE.
Intensities are scaled so that the largest is 1000.

Most intense lines, 2θ from 15° to 90°, by intensity:
2θ = 20.6°, I 1000
2θ = 27.7°, I 774
2θ = 20.5°, I 773
2θ = 38.5°, I 767
2θ = 29.3°, I 761
2θ = 30.7°, I 635
2θ = 31.9°, I 487
2θ = 39.4°, I 463
2θ = 40.6°, I 363
2θ = 56.3°, I 354

```
data_K8CaTe6
_chemical_formula_sum 'K16 Ca2 Te12'
_cell_length_a 13.6219
_cell_length_b 13.6219
_cell_length_c 6.1602
_cell_angle_alpha 90.00
_cell_angle_beta 90.00
_cell_angle_gamma 90.00
_symmetry_space_group_name_H-M 'I -4 2 m'
_symmetry_Int_Tables_number 121
_symmetry_space_group_name_Hall 'I -4 2'
loop_
_atom_site_label
_atom_site_type_symbol
_atom_site_fract_x
_atom_site_fract_y
_atom_site_fract_z
K1 K 0.0884 0.2744 0.2360
Ca1 Ca 0.0000 0.0000 0.5000
Te1 Te 0.0000 0.5000 0.0000
Te2 Te 0.1472 0.1472 0.7256
```



[8]
# Ac2Pr2Tl
Computed powder XRD pattern, CuKα. Input: a crystal structure in Alexandria, relaxed with GGA-PBE.
Intensities are scaled so that the largest is 1000.

Most intense lines, 2θ from 15° to 90°, by intensity:
2θ = 30.8°, I 1000
2θ = 28.2°, I 998
2θ = 32.5°, I 960
2θ = 29.6°, I 873
2θ = 28.0°, I 764
2θ = 31.6°, I 727
2θ = 52.6°, I 448
2θ = 33.4°, I 394
2θ = 27.7°, I 317
2θ = 53.8°, I 275

```
data_Ac2Pr2Tl
_chemical_formula_sum 'Ac8 Pr8 Tl4'
_cell_length_a 8.8734
_cell_length_b 10.4405
_cell_length_c 9.0458
_cell_angle_alpha 90.00
_cell_angle_beta 114.87
_cell_angle_gamma 90.00
_symmetry_space_group_name_H-M 'C 1 2/m 1'
_symmetry_Int_Tables_number 12
loop_
_symmetry_equiv_pos_as_xyz
'x,y,z'
'-x,-y,-z'
'-x,y,-z'
'x,-y,z'
'x+1/2,y+1/2,z'
'-x+1/2,-y+1/2,-z'
'-x+1/2,y+1/2,-z'
'x+1/2,-y+1/2,z'
loop_
_atom_site_label
_atom_site_type_symbol
_atom_site_fract_x
_atom_site_fract_y
_atom_site_fract_z
Ac1 Ac 0.0739 0.1879 0.2224
Pr1 Pr 0.1495 0.5000 0.9198
Pr2 Pr 0.2219 0.0000 0.6198
Tl1 Tl 0.0000 0.3471 0.5000
```



[9]
# Ti6VPd3
Computed powder XRD pattern, CuKα. Input: a crystal structure in Alexandria, relaxed with GGA-PBE.
Intensities are scaled so that the largest is 1000.

Most intense lines, 2θ from 15° to 90°, by intensity:
2θ = 39.1°, I 1000
2θ = 40.3°, I 770
2θ = 40.7°, I 712
2θ = 40.4°, I 691
2θ = 26.0°, I 677
2θ = 20.0°, I 527
2θ = 40.9°, I 480
2θ = 31.4°, I 372
2θ = 44.1°, I 349
2θ = 43.9°, I 349

```
data_Ti6VPd3
_chemical_formula_sum 'Ti12 V2 Pd6'
_cell_length_a 5.1583
_cell_length_b 7.4270
_cell_length_c 10.1683
_cell_angle_alpha 90.00
_cell_angle_beta 119.77
_cell_angle_gamma 90.00
_symmetry_space_group_name_H-M 'P 1 21/c 1'
_symmetry_Int_Tables_number 14
loop_
_symmetry_equiv_pos_as_xyz
'x,y,z'
'-x,-y,-z'
'-x,y+1/2,-z+1/2'
'x,-y+1/2,z+1/2'
loop_
_atom_site_label
_atom_site_type_symbol
_atom_site_fract_x
_atom_site_fract_y
_atom_site_fract_z
Ti1 Ti 0.0545 0.1601 0.0678
Ti2 Ti 0.4270 0.1588 0.4374
Ti3 Ti 0.4368 0.6502 0.7488
V1 V 0.0000 0.0000 0.5000
Pd1 Pd 0.0211 0.0811 0.7451
Pd2 Pd 0.5000 0.0000 0.0000
```



[10]
# PrNd7Y4
Computed powder XRD pattern, CuKα. Input: a crystal structure in Alexandria, relaxed with GGA-PBE.
Intensities are scaled so that the largest is 1000.

Most intense lines, 2θ from 15° to 90°, by intensity:
2θ = 31.2°, I 1000
2θ = 32.8°, I 898
2θ = 30.4°, I 491
2θ = 59.3°, I 436
2θ = 28.2°, I 428
2θ = 49.6°, I 375
2θ = 53.5°, I 213
2θ = 56.7°, I 190
2θ = 39.3°, I 165
2θ = 84.4°, I 165

```
data_PrNd7Y4
_chemical_formula_sum 'Pr1 Nd7 Y4'
_cell_length_a 6.3704
_cell_length_b 7.3541
_cell_length_c 9.0648
_cell_angle_alpha 89.98
_cell_angle_beta 76.46
_cell_angle_gamma 89.92
_symmetry_space_group_name_H-M 'P -1'
_symmetry_Int_Tables_number 2
loop_
_symmetry_equiv_pos_as_xyz
'x,y,z'
'-x,-y,-z'
loop_
_atom_site_label
_atom_site_type_symbol
_atom_site_fract_x
_atom_site_fract_y
_atom_site_fract_z
Pr1 Pr 0.0000 0.0000 0.0000
Nd1 Nd 0.0000 0.5000 0.0000
Nd2 Nd 0.2226 0.0003 0.3343
Nd3 Nd 0.2786 0.2504 0.6648
Nd4 Nd 0.4991 0.2528 0.0008
Y1 Y 0.2199 0.5001 0.3349
Y2 Y 0.2788 0.7461 0.6660
```



[11]
# Ti7Ni3
Computed powder XRD pattern, CuKα. Input: a crystal structure in Alexandria, relaxed with GGA-PBE.
Intensities are scaled so that the largest is 1000.

Most intense lines, 2θ from 15° to 90°, by intensity:
2θ = 37.3°, I 1000
2θ = 41.4°, I 936
2θ = 42.6°, I 871
2θ = 43.6°, I 810
2θ = 36.3°, I 365
2θ = 48.1°, I 333
2θ = 37.6°, I 293
2θ = 86.6°, I 254
2θ = 61.7°, I 240
2θ = 79.8°, I 192

```
data_Ti7Ni3
_chemical_formula_sum 'Ti14 Ni6'
_cell_length_a 8.2953
_cell_length_b 8.2953
_cell_length_c 5.2694
_cell_angle_alpha 90.00
_cell_angle_beta 90.00
_cell_angle_gamma 120.00
_symmetry_space_group_name_H-M 'P 63 m c'
_symmetry_Int_Tables_number 186
_symmetry_space_group_name_Hall 'P 6c -2c'
loop_
_atom_site_label
_atom_site_type_symbol
_atom_site_fract_x
_atom_site_fract_y
_atom_site_fract_z
Ti1 Ti 0.0797 0.5398 0.0000
Ti2 Ti 0.1346 0.2692 0.7150
Ti3 Ti 0.3333 0.6667 0.5632
Ni1 Ni 0.1908 0.3816 0.2734
```